For Nb3H12C4NCl9, a structure optimized by DFT (GGA-PBE) gives the calculated powder XRD pattern in this record (Cu Ka).
Peak positions follow from Bragg's law for the DFT cell and can differ from measured ones.

The 10 most intense peaks (2θ = 10–80°), sorted by position:
| Position (°2θ) | intensity | (hkl) |
| --- | --- | --- |
| 13.52 | 91 | 1 0 1 |
| 20.93 | 49 | 0 2 1 |
| 31.69 | 22 | 2 1 2 |
| 34.37 | 100 | 0 3 2 |
| 39.25 | 56 | 1 3 2 |
| 42.60 | 34 | 0 4 2 |
| 47.78 | 21 | 4 1 2 |
| 49.03 | 21 | 3 3 0 |
| 49.77 | 21 | 3 0 4 |
| 58.12 | 25 | 4 3 0 |

Cell and atoms:
```
data_Nb3H12C4NCl9
_chemical_formula_sum 'Nb6 H24 C8 N2 Cl18'
_space_group_name_H-M_alt 'P -3 m 1'
_space_group_IT_number 164
_space_group_name_Hall '-P 3 2"'
_cell_length_a 11.1483
_cell_length_b 11.1483
_cell_length_c 8.9129
_cell_angle_alpha 90.00
_cell_angle_beta 90.00
_cell_angle_gamma 120.00
loop_
_atom_site_label
_atom_site_type_symbol
_atom_site_fract_x
_atom_site_fract_y
_atom_site_fract_z
_atom_site_occupancy
Nb1 Nb 0.0915 0.1830 0.1404 1
H1 H 0.1338 0.4864 0.6930 1
H2 H 0.1879 0.5940 0.5286 1
H3 H 0.2797 0.5595 0.9168 1
C1 C 0.1864 0.5932 0.6515 1
C2 C 0.3333 0.6667 0.8767 1
N1 N 0.3333 0.6667 0.7081 1
Cl1 Cl 0.0000 0.3105 0.0000 1
Cl2 Cl 0.1027 0.2054 0.6836 1
Cl3 Cl 0.1979 0.3958 0.2999 1
```